Diffraction record for La2HoHgSe5. The powder X-ray diffraction pattern is theoretical, not measured: it uses a PBE-relaxed structure and Cu Kα.
No peak broadening, texture or thermal motion is included.

Principal peaks in the range 2θ = 10–90°, most intense first:
two_theta, d (Å), Rel. int.
30.37, 2.943, 100
30.82, 2.902, 78
43.50, 2.081, 54
39.34, 2.291, 41
26.00, 3.427, 40
35.96, 2.498, 39

Structure:
Lattice parameters (Å, degrees): 9.1744 9.1744 12.8478 90.00 90.00 153.79
Atoms (fractional coordinates):
La 0.1189 0.8811 0.5000
La 0.1325 0.8675 0.1247
La 0.8675 0.1325 0.6247
La 0.8811 0.1189 0.0000
Ho 0.1982 0.8018 0.8241
Ho 0.8018 0.1982 0.3241
Hg 0.4593 0.5407 0.2747
Hg 0.5407 0.4593 0.7747
Se 0.0459 0.9541 0.9007
Se 0.2898 0.7102 0.4790
Se 0.3063 0.6937 0.1660
Se 0.3560 0.6440 0.8165
Se 0.4959 0.5041 0.5830
Se 0.5041 0.4959 0.0830
Se 0.6440 0.3560 0.3165
Se 0.6937 0.3063 0.6660
Se 0.7102 0.2898 0.9790
Se 0.9541 0.0459 0.4007

***

Diffraction record for LaTb2HoHg4. The powder X-ray diffraction pattern is theoretical, not measured: it uses a PBE-relaxed structure and Cu Kα.
No peak broadening, texture or thermal motion is included.

Principal peaks in the range 2θ = 10–90°, most intense first:
two_theta, d (Å), Rel. int.
33.40, 2.683, 100
33.71, 2.658, 100
60.10, 1.539, 38
48.19, 1.888, 36
60.30, 1.535, 19
59.50, 1.554, 18

Structure:
Lattice parameters (Å, degrees): 9.3219 9.3219 9.3219 33.14 33.14 33.14
Atoms (fractional coordinates):
La 0.0000 0.0000 0.0000
Tb 0.2488 0.2488 0.2488
Tb 0.7512 0.7512 0.7512
Ho 0.5000 0.5000 0.5000
Hg 0.1277 0.1277 0.1277
Hg 0.3798 0.3798 0.3798
Hg 0.6202 0.6202 0.6202
Hg 0.8723 0.8723 0.8723

***

Diffraction record for LaHo2ThHg4. The powder X-ray diffraction pattern is theoretical, not measured: it uses a PBE-relaxed structure and Cu Kα.
No peak broadening, texture or thermal motion is included.

Principal peaks in the range 2θ = 10–90°, most intense first:
two_theta, d (Å), Rel. int.
33.37, 2.685, 100
59.67, 1.549, 29
47.90, 1.899, 18
59.51, 1.553, 10
79.93, 1.200, 8
79.80, 1.202, 8

Structure:
Lattice parameters (Å, degrees): 9.3206 9.3206 9.3206 33.45 33.45 33.45
Atoms (fractional coordinates):
La 0.0000 0.0000 0.0000
Ho 0.2483 0.2483 0.2483
Ho 0.7517 0.7517 0.7517
Th 0.5000 0.5000 0.5000
Hg 0.1253 0.1253 0.1253
Hg 0.3758 0.3758 0.3758
Hg 0.6242 0.6242 0.6242
Hg 0.8747 0.8747 0.8747

***

Diffraction record for Li5HoHg6. The powder X-ray diffraction pattern is theoretical, not measured: it uses a PBE-relaxed structure and Cu Kα.
No peak broadening, texture or thermal motion is included.

Principal peaks in the range 2θ = 10–90°, most intense first:
two_theta, d (Å), Rel. int.
37.17, 2.419, 100
26.02, 3.425, 53
26.17, 3.405, 27
37.34, 2.408, 20
60.45, 1.531, 16
66.91, 1.398, 14

Structure:
Lattice parameters (Å, degrees): 4.8380 6.8558 7.6073 90.00 108.26 90.00
Atoms (fractional coordinates):
Li 0.0000 0.0000 0.0000
Li 0.3311 0.5000 0.6581
Li 0.3381 0.0000 0.6779
Li 0.6619 0.0000 0.3221
Li 0.6689 0.5000 0.3419
Ho 0.0000 0.5000 0.0000
Hg 0.1722 0.2346 0.3445
Hg 0.1722 0.7654 0.3445
Hg 0.5000 0.2298 0.0000
Hg 0.5000 0.7702 0.0000
Hg 0.8278 0.2346 0.6555
Hg 0.8278 0.7654 0.6555

***

Diffraction record for LiHo3Hg12. The powder X-ray diffraction pattern is theoretical, not measured: it uses a PBE-relaxed structure and Cu Kα.
No peak broadening, texture or thermal motion is included.

Principal peaks in the range 2θ = 10–90°, most intense first:
two_theta, d (Å), Rel. int.
34.03, 2.634, 100
39.85, 2.262, 33
68.65, 1.367, 27
56.82, 1.620, 22
38.78, 2.322, 17
67.18, 1.393, 13

Structure:
Lattice parameters (Å, degrees): 4.5240 4.5240 18.5759 90.00 90.00 90.00
Atoms (fractional coordinates):
Li 0.0000 0.0000 0.0000
Ho 0.0000 0.0000 0.2392
Ho 0.0000 0.0000 0.5000
Ho 0.0000 0.0000 0.7608
Hg 0.0000 0.5000 0.1184
Hg 0.0000 0.5000 0.3722
Hg 0.0000 0.5000 0.6278
Hg 0.0000 0.5000 0.8816
Hg 0.5000 0.0000 0.1184
Hg 0.5000 0.0000 0.3722
Hg 0.5000 0.0000 0.6278
Hg 0.5000 0.0000 0.8816
Hg 0.5000 0.5000 0.0000
Hg 0.5000 0.5000 0.2465
Hg 0.5000 0.5000 0.5000
Hg 0.5000 0.5000 0.7535

***

Diffraction record for LiHo3Hg3. The powder X-ray diffraction pattern is theoretical, not measured: it uses a PBE-relaxed structure and Cu Kα.
No peak broadening, texture or thermal motion is included.

Principal peaks in the range 2θ = 10–90°, most intense first:
two_theta, d (Å), Rel. int.
34.26, 2.618, 100
30.23, 2.956, 80
35.88, 2.503, 27
31.93, 2.803, 24
35.20, 2.549, 22
61.23, 1.514, 16

Structure:
Lattice parameters (Å, degrees): 6.6133 6.6133 8.3904 92.72 92.72 104.23
Atoms (fractional coordinates):
Li 0.2260 0.2260 0.4531
Li 0.7740 0.7740 0.5469
Ho 0.1077 0.1077 0.8288
Ho 0.2500 0.7500 0.5000
Ho 0.3239 0.6761 0.0000
Ho 0.6761 0.3239 0.0000
Ho 0.7500 0.2500 0.5000
Ho 0.8923 0.8923 0.1712
Hg 0.0484 0.3902 0.2202
Hg 0.3902 0.0484 0.2202
Hg 0.4561 0.4561 0.6962
Hg 0.5439 0.5439 0.3038
Hg 0.6098 0.9516 0.7798
Hg 0.9516 0.6098 0.7798

***

Diffraction record for LiHo2Hg6. The powder X-ray diffraction pattern is theoretical, not measured: it uses a PBE-relaxed structure and Cu Kα.
No peak broadening, texture or thermal motion is included.

Principal peaks in the range 2θ = 10–90°, most intense first:
two_theta, d (Å), Rel. int.
34.49, 2.601, 100
35.89, 2.502, 48
36.34, 2.472, 34
35.28, 2.544, 24
41.78, 2.162, 19
28.27, 3.157, 19

Structure:
Lattice parameters (Å, degrees): 9.1728 9.1728 4.9445 90.00 90.00 90.00
Atoms (fractional coordinates):
Li 0.0000 0.0000 0.0000
Li 0.5000 0.5000 0.5000
Ho 0.2062 0.2062 0.5000
Ho 0.2938 0.7062 0.0000
Ho 0.7062 0.2938 0.0000
Ho 0.7938 0.7938 0.5000
Hg 0.0382 0.3296 0.0000
Hg 0.1261 0.8739 0.5000
Hg 0.1704 0.5382 0.5000
Hg 0.3296 0.0382 0.0000
Hg 0.3739 0.3739 0.0000
Hg 0.4618 0.8296 0.5000
Hg 0.5382 0.1704 0.5000
Hg 0.6261 0.6261 0.0000
Hg 0.6704 0.9618 0.0000
Hg 0.8296 0.4618 0.5000
Hg 0.8739 0.1261 0.5000
Hg 0.9618 0.6704 0.0000

***

Diffraction record for Ho3Mg2Hg2. The powder X-ray diffraction pattern is theoretical, not measured: it uses a PBE-relaxed structure and Cu Kα.
No peak broadening, texture or thermal motion is included.

Principal peaks in the range 2θ = 10–90°, most intense first:
two_theta, d (Å), Rel. int.
33.16, 2.702, 100
33.56, 2.670, 78
35.40, 2.536, 50
53.93, 1.700, 30
39.32, 2.291, 26
65.34, 1.428, 23

Structure:
Lattice parameters (Å, degrees): 11.7269 11.7269 3.3806 90.00 90.00 157.46
Atoms (fractional coordinates):
Ho 0.0000 0.0000 0.0000
Ho 0.1449 0.8551 0.0000
Ho 0.8551 0.1449 0.0000
Mg 0.2844 0.7156 0.5000
Mg 0.7156 0.2844 0.5000
Hg 0.4222 0.5778 0.5000
Hg 0.5778 0.4222 0.5000

***

Diffraction record for HoMg11Hg. The powder X-ray diffraction pattern is theoretical, not measured: it uses a PBE-relaxed structure and Cu Kα.
No peak broadening, texture or thermal motion is included.

Principal peaks in the range 2θ = 10–90°, most intense first:
two_theta, d (Å), Rel. int.
35.45, 2.532, 100
12.35, 7.169, 77
24.86, 3.582, 70
17.53, 5.059, 70
30.31, 2.949, 38
24.55, 3.626, 37

Structure:
Lattice parameters (Å, degrees): 7.7506 7.7506 7.6886 97.94 97.94 135.34
Atoms (fractional coordinates):
Ho 0.0000 0.0000 0.0000
Mg 0.0000 0.0000 0.5000
Mg 0.0000 0.5000 0.0000
Mg 0.0007 0.3481 0.3521
Mg 0.2906 0.4997 0.7871
Mg 0.3481 0.0007 0.3521
Mg 0.5000 0.0000 0.0000
Mg 0.4997 0.2906 0.7871
Mg 0.5003 0.7094 0.2129
Mg 0.6519 0.9993 0.6479
Mg 0.7094 0.5003 0.2129
Mg 0.9993 0.6519 0.6479
Hg 0.5000 0.5000 0.5000

***

Diffraction record for Ho4Mg3Hg. The powder X-ray diffraction pattern is theoretical, not measured: it uses a PBE-relaxed structure and Cu Kα.
No peak broadening, texture or thermal motion is included.

Principal peaks in the range 2θ = 10–90°, most intense first:
two_theta, d (Å), Rel. int.
33.84, 2.649, 100
33.58, 2.669, 51
60.21, 1.537, 38
23.57, 3.775, 20
48.22, 1.887, 19
60.71, 1.526, 18

Structure:
Lattice parameters (Å, degrees): 3.7745 3.7745 14.8737 90.00 90.00 90.00
Atoms (fractional coordinates):
Ho 0.0000 0.0000 0.1209
Ho 0.0000 0.0000 0.3727
Ho 0.0000 0.0000 0.6273
Ho 0.0000 0.0000 0.8791
Mg 0.5000 0.5000 0.2493
Mg 0.5000 0.5000 0.5000
Mg 0.5000 0.5000 0.7507
Hg 0.5000 0.5000 0.0000

***

Diffraction record for Ho2MgHg2. The powder X-ray diffraction pattern is theoretical, not measured: it uses a PBE-relaxed structure and Cu Kα.
No peak broadening, texture or thermal motion is included.

Principal peaks in the range 2θ = 10–90°, most intense first:
two_theta, d (Å), Rel. int.
33.67, 2.662, 100
15.54, 5.704, 29
35.18, 2.551, 25
66.81, 1.400, 18
59.24, 1.560, 11
44.95, 2.017, 11

Structure:
Lattice parameters (Å, degrees): 8.0663 8.0663 3.9429 90.00 90.00 90.00
Atoms (fractional coordinates):
Ho 0.1649 0.3351 0.0000
Ho 0.3351 0.8351 0.0000
Ho 0.6649 0.1649 0.0000
Ho 0.8351 0.6649 0.0000
Mg 0.0000 0.0000 0.5000
Mg 0.5000 0.5000 0.5000
Hg 0.1354 0.6354 0.5000
Hg 0.3646 0.1354 0.5000
Hg 0.6354 0.8646 0.5000
Hg 0.8646 0.3646 0.5000

***

Diffraction record for Ho8MgHg2. The powder X-ray diffraction pattern is theoretical, not measured: it uses a PBE-relaxed structure and Cu Kα.
No peak broadening, texture or thermal motion is included.

Principal peaks in the range 2θ = 10–90°, most intense first:
two_theta, d (Å), Rel. int.
30.07, 2.972, 100
35.11, 2.556, 68
31.65, 2.827, 63
32.85, 2.726, 55
36.25, 2.478, 40
33.40, 2.683, 38

Structure:
Lattice parameters (Å, degrees): 8.5279 8.5279 5.4655 100.80 100.80 117.96
Atoms (fractional coordinates):
Ho 0.0943 0.3256 0.6067
Ho 0.2237 0.7763 0.0000
Ho 0.3256 0.0943 0.6067
Ho 0.3978 0.3978 0.1974
Ho 0.6022 0.6022 0.8026
Ho 0.6744 0.9057 0.3933
Ho 0.7763 0.2237 0.0000
Ho 0.9057 0.6744 0.3933
Mg 0.0000 0.0000 0.0000
Hg 0.3051 0.6949 0.5000
Hg 0.6949 0.3051 0.5000

***

Diffraction record for Ho3Mg7Hg2. The powder X-ray diffraction pattern is theoretical, not measured: it uses a PBE-relaxed structure and Cu Kα.
No peak broadening, texture or thermal motion is included.

Principal peaks in the range 2θ = 10–90°, most intense first:
two_theta, d (Å), Rel. int.
35.42, 2.535, 100
29.78, 3.000, 79
18.73, 4.738, 45
56.58, 1.627, 26
57.53, 1.602, 19
21.18, 4.195, 19

Structure:
Lattice parameters (Å, degrees): 10.0895 10.0895 10.0895 34.59 34.59 34.59
Atoms (fractional coordinates):
Ho 0.0000 0.0000 0.0000
Ho 0.1445 0.1445 0.1445
Ho 0.8555 0.8555 0.8555
Mg 0.0770 0.5841 0.5841
Mg 0.4159 0.4159 0.9230
Mg 0.4159 0.9230 0.4159
Mg 0.5000 0.5000 0.5000
Mg 0.5841 0.0770 0.5841
Mg 0.5841 0.5841 0.0770
Mg 0.9230 0.4159 0.4159
Hg 0.3342 0.3342 0.3342
Hg 0.6658 0.6658 0.6658